# 1
The following is a simulated powder diffractogram of LaGdGa2Br2. It was derived from a PBE-relaxed structure, using Cu Kα (weighted mean of Kα1 and Kα2).
Lines closer than 0.1° are merged.

Principal peaks in the range 2θ from 10° to 90°, by angle:
24.22 deg, rel. 118, hkl 1 0 0; 25.45 deg, rel. 209, hkl 1 0 1; 28.82 deg, rel. 697, hkl 1 0 2; 33.77 deg, rel. 1000, hkl 1 0 3; 42.62 deg, rel. 527, hkl 1 1 0; 46.53 deg, rel. 241, hkl 0 1 5; 52.27 deg, rel. 131, hkl 0 2 2; 55.45 deg, rel. 239, hkl 0 2 3; 65.59 deg, rel. 168, hkl 1 1 6; 72.36 deg, rel. 214, hkl 2 1 3

Structure:
```
LaGdGa2Br2
1.0
4.2424 0.0000 0.0000
-2.1212 3.6740 0.0000
0.0000 0.0000 11.5188
La Gd Ga Br
1 1 2 2
Direct
0.0000 0.0000 0.0000
0.0000 0.0000 0.6333
0.3333 0.6667 0.8401
0.6667 0.3333 0.7834
0.3333 0.6667 0.4830
0.6667 0.3333 0.1631
```


# 2
The following is a simulated powder diffractogram of PrDyCN2O2. It was derived from a PBE-relaxed structure, using Cu Kα (weighted mean of Kα1 and Kα2).
Lines closer than 0.1° are merged.

Principal peaks in the range 2θ from 10° to 90°, by angle:
10.72 deg, rel. 462, hkl 0 0 1; 21.53 deg, rel. 189, hkl 0 0 2; 26.99 deg, rel. 169, hkl 1 0 0; 29.11 deg, rel. 1000, hkl 0 1 1; 32.54 deg, rel. 177, hkl 0 0 3; 34.78 deg, rel. 416, hkl 1 0 2; 42.77 deg, rel. 211, hkl 0 1 3; 47.68 deg, rel. 289, hkl 1 1 0; 52.27 deg, rel. 245, hkl 0 1 4; 58.91 deg, rel. 196, hkl 1 1 3

Structure:
```
PrDyCN2O2
1.0
3.8150 0.0000 0.0000
-1.9075 3.3039 0.0000
0.0000 0.0000 8.2544
Pr Dy C N O
1 1 1 2 2
Direct
0.0000 0.0000 0.0000
0.6667 0.3333 0.6410
0.3333 0.6667 0.3257
0.3333 0.6667 0.1758
0.3333 0.6667 0.4750
0.0000 0.0000 0.7078
0.6667 0.3333 0.9134
```


# 3
The following is a simulated powder diffractogram of HgBr7. It was derived from a PBE-relaxed structure, using Cu Kα (weighted mean of Kα1 and Kα2).
Lines closer than 0.1° are merged.

Principal peaks in the range 2θ from 10° to 90°, by angle:
13.55 deg, rel. 352, hkl 1 0 0; 14.92 deg, rel. 255, hkl 1 0 -1; 16.13 deg, rel. 284, hkl -1 1 1; 16.23 deg, rel. 345, hkl 0 1 1; 25.09 deg, rel. 568, hkl 0 2 0; 28.88 deg, rel. 1000, hkl -2 2 1; 30.11 deg, rel. 263, hkl 2 0 -2; 31.17 deg, rel. 910, hkl 1 0 3; 42.49 deg, rel. 237, hkl 3 -2 2; 45.66 deg, rel. 228, hkl 2 2 -2

Structure:
```
HgBr7
1.0
7.3477 0.0000 0.0000
-3.4905 7.1889 0.0000
-0.9417 -1.6382 10.3086
Hg Br
2 14
Direct
0.0335 0.3751 0.1367
0.9665 0.6249 0.8633
0.0100 0.7582 0.4951
0.1811 0.3167 0.7190
0.2218 0.8548 0.7345
0.2471 0.1646 0.1133
0.2725 0.7004 0.0879
0.3901 0.2164 0.3616
0.4428 0.7367 0.4157
0.5572 0.2633 0.5843
0.6099 0.7836 0.6384
0.7275 0.2996 0.9121
0.7529 0.8354 0.8867
0.7782 0.1452 0.2655
0.8189 0.6833 0.2810
0.9900 0.2418 0.5049
```


What is the formula in the third record?
HgBr7